For Tl2WO4, a DFT-relaxed cell (GGA+U, Alexandria) gives the theoretical powder X-ray diffraction pattern in this record (Cu Kα (weighted mean of Kα1 and Kα2)).
Lines closer than 0.1° are merged.

Cell: 8.304 6.294 11.934 Å, 90.00 90.00 90.00°
Fractional positions:
1 Tl 0.021 0.250 0.240
2 Tl 0.182 0.250 0.562
3 Tl 0.318 0.750 0.062
4 Tl 0.479 0.750 0.740
5 Tl 0.521 0.250 0.260
6 Tl 0.682 0.250 0.938
7 Tl 0.818 0.750 0.438
8 Tl 0.979 0.750 0.760
9 W 0.199 0.250 0.930
10 W 0.301 0.750 0.430
11 W 0.699 0.250 0.570
12 W 0.801 0.750 0.070
13 O 0.017 0.750 0.092
14 O 0.213 0.510 0.370
15 O 0.213 0.990 0.370
16 O 0.246 0.250 0.079
17 O 0.254 0.750 0.579
18 O 0.287 0.010 0.870
19 O 0.287 0.490 0.870
20 O 0.483 0.250 0.592
21 O 0.517 0.750 0.408
22 O 0.713 0.510 0.130
23 O 0.713 0.990 0.130
24 O 0.746 0.250 0.421
25 O 0.754 0.750 0.921
26 O 0.787 0.010 0.630
27 O 0.787 0.490 0.630
28 O 0.983 0.250 0.908

Largest 8 diffraction maxima, by angle, 5° ≤ 2θ ≤ 70°:
2theta	I_rel	(hkl)
25.70	33	2 1 0
26.15	48	2 0 2
26.51	100	0 1 3
26.79	52	2 1 1
28.36	46	0 2 0
38.95	34	2 2 2
46.18	25	2 1 5
48.63	22	4 1 2